Diffraction record for Pr2Dy4Ho5. The powder diffraction line list is computed, not measured: it uses the PBE geometry in Alexandria and copper Kα.
Lines closer than 0.1° are merged.

The 10 most intense peaks (15° ≤ 2θ ≤ 90°), low angle first:
- 2θ = 26.02°, intensity 24.2
- 2θ = 30.47°, intensity 93.1
- 2θ = 30.77°, intensity 100.0
- 2θ = 30.98°, intensity 95.8
- 2θ = 32.38°, intensity 81.4
- 2θ = 37.08°, intensity 59.8
- 2θ = 39.52°, intensity 26.8
- 2θ = 62.47°, intensity 26.8
- 2θ = 62.59°, intensity 25.9
- 2θ = 63.40°, intensity 32.8

```
data_Pr2Dy4Ho5
_chemical_formula_sum 'Pr2 Dy4 Ho5'
_cell_length_a 12.046
_cell_length_b 12.046
_cell_length_c 8.732
_cell_angle_alpha 96.55
_cell_angle_beta 96.55
_cell_angle_gamma 16.52
_space_group_name_H-M_alt 'P 1'
_space_group_IT_number 1
_space_group_name_Hall 'P 1'
loop_
_atom_site_label
_atom_site_fract_x
_atom_site_fract_y
_atom_site_fract_z
_atom_site_occupancy
Pr1 0.092 0.092 0.244 1
Pr2 0.908 0.908 0.756 1
Dy1 0.046 0.046 0.860 1
Dy2 0.322 0.322 0.027 1
Dy3 0.678 0.678 0.973 1
Dy4 0.954 0.954 0.140 1
Ho1 0.141 0.141 0.623 1
Ho2 0.234 0.234 0.327 1
Ho3 0.500 0.500 0.500 1
Ho4 0.766 0.766 0.673 1
Ho5 0.859 0.859 0.377 1
```